(1)
Simulated powder X-ray diffraction pattern
Compound: Dy5Tl3
Radiation: Cu Kα X-rays
Structure: the PBE geometry in the Materials Project
Lines closer than 0.1° are merged.

Structure:
```
data_Dy5Tl3
_chemical_formula_sum 'Dy10 Tl6'
_cell_length_a 8.9973
_cell_length_b 8.9973
_cell_length_c 6.7454
_cell_angle_alpha 90.00
_cell_angle_beta 90.00
_cell_angle_gamma 120.00
_symmetry_space_group_name_H-M 'P 63/m c m'
_symmetry_Int_Tables_number 193
_symmetry_space_group_name_Hall '-P 6c 2'
loop_
_atom_site_label
_atom_site_type_symbol
_atom_site_fract_x
_atom_site_fract_y
_atom_site_fract_z
Dy1 Dy 0.0000 0.2364 0.2500
Dy2 Dy 0.3333 0.6667 0.0000
Tl1 Tl 0.0000 0.4025 0.7500
```

Top 10 peaks for 15° ≤ 2θ ≤ 90°, by angle:
(hkl)	d (Å)	Rel. int.
0 0 2	3.373	13.8
2 1 0	2.945	15.3
1 1 2	2.699	100.0
3 0 0	2.597	18.0
3 1 1	2.058	10.8
2 1 3	1.787	17.8
0 0 4	1.687	11.8
5 0 0	1.558	8.6
3 3 1	1.464	9.5
5 0 2	1.415	18.0

(2)
Simulated powder X-ray diffraction pattern
Compound: Dy5Tl3
Radiation: Cu Kα X-rays
Structure: the PBE geometry in the Materials Project
Lines closer than 0.1° are merged.

Structure:
```
data_Dy5Tl3
_chemical_formula_sum 'Dy20 Tl12'
_cell_length_a 8.0487
_cell_length_b 8.0487
_cell_length_c 14.4592
_cell_angle_alpha 90.00
_cell_angle_beta 90.00
_cell_angle_gamma 90.00
_symmetry_space_group_name_H-M 'I 4/m c m'
_symmetry_Int_Tables_number 140
_symmetry_space_group_name_Hall '-I 4 2c'
loop_
_atom_site_label
_atom_site_type_symbol
_atom_site_fract_x
_atom_site_fract_y
_atom_site_fract_z
Dy1 Dy 0.0000 0.0000 0.0000
Dy2 Dy 0.1617 0.3383 0.1510
Tl1 Tl 0.0000 0.0000 0.2500
Tl2 Tl 0.1343 0.3657 0.5000
```

Top 10 peaks for 15° ≤ 2θ ≤ 90°, by angle:
(hkl)	d (Å)	Rel. int.
1 1 4	3.051	10.5
2 1 3	2.884	100.0
2 2 0	2.846	10.0
2 0 4	2.689	20.8
3 1 0	2.545	51.0
0 0 6	2.410	10.4
0 0 8	1.809	15.3
3 1 6	1.750	8.4
3 1 8	1.474	10.2
5 2 3	1.428	15.3

(3)
Simulated powder X-ray diffraction pattern
Compound: DyTl3
Radiation: Cu Kα X-rays
Structure: the PBE geometry in the Materials Project
Lines closer than 0.1° are merged.

Structure:
```
data_DyTl3
_chemical_formula_sum 'Dy1 Tl3'
_cell_length_a 4.7783
_cell_length_b 4.7783
_cell_length_c 4.7783
_cell_angle_alpha 90.00
_cell_angle_beta 90.00
_cell_angle_gamma 90.00
_symmetry_space_group_name_H-M 'P m -3 m'
_symmetry_Int_Tables_number 221
_symmetry_space_group_name_Hall '-P 4 2 3'
loop_
_atom_site_label
_atom_site_type_symbol
_atom_site_fract_x
_atom_site_fract_y
_atom_site_fract_z
Dy1 Dy 0.0000 0.0000 0.0000
Tl1 Tl 0.0000 0.5000 0.5000
```

Top 9 peaks for 15° ≤ 2θ ≤ 90°, by angle:
(hkl)	d (Å)	Rel. int.
1 0 0	4.778	0.7
1 1 0	3.379	0.7
1 1 1	2.759	100.0
2 0 0	2.389	50.5
2 2 0	1.689	35.7
3 1 1	1.441	42.3
2 2 2	1.379	12.2
4 0 0	1.195	5.8
3 3 1	1.096	18.7

(4)
Simulated powder X-ray diffraction pattern
Compound: DyYTl2
Radiation: Cu Kα X-rays
Structure: the PBE geometry in the Materials Project
Lines closer than 0.1° are merged.

Structure:
```
data_DyYTl2
_chemical_formula_sum 'Dy4 Y4 Tl8'
_cell_length_a 7.5922
_cell_length_b 7.5922
_cell_length_c 7.5922
_cell_angle_alpha 90.00
_cell_angle_beta 90.00
_cell_angle_gamma 90.00
_symmetry_space_group_name_H-M 'F m -3 m'
_symmetry_Int_Tables_number 225
_symmetry_space_group_name_Hall '-F 4 2 3'
loop_
_atom_site_label
_atom_site_type_symbol
_atom_site_fract_x
_atom_site_fract_y
_atom_site_fract_z
Dy1 Dy 0.0000 0.0000 0.0000
Y1 Y 0.0000 0.0000 0.5000
Tl1 Tl 0.2500 0.2500 0.2500
```

Top 10 peaks for 15° ≤ 2θ ≤ 90°, by angle:
(hkl)	d (Å)	Rel. int.
1 1 1	4.383	2.5
2 0 0	3.796	6.0
2 2 0	2.684	100.0
2 2 2	2.192	2.0
4 0 0	1.898	18.3
4 2 0	1.698	2.9
4 2 2	1.550	38.2
4 4 0	1.342	11.8
6 2 0	1.200	16.6
4 4 4	1.096	4.4

(5)
Simulated powder X-ray diffraction pattern
Compound: DyTlZn
Radiation: Cu Kα X-rays
Structure: the PBE geometry in the Materials Project
Lines closer than 0.1° are merged.

Structure:
```
data_DyTlZn
_chemical_formula_sum 'Dy2 Tl2 Zn2'
_cell_length_a 4.7157
_cell_length_b 4.7157
_cell_length_c 7.2785
_cell_angle_alpha 90.00
_cell_angle_beta 90.00
_cell_angle_gamma 120.00
_symmetry_space_group_name_H-M 'P 63/m m c'
_symmetry_Int_Tables_number 194
_symmetry_space_group_name_Hall '-P 6c 2c'
loop_
_atom_site_label
_atom_site_type_symbol
_atom_site_fract_x
_atom_site_fract_y
_atom_site_fract_z
Dy1 Dy 0.0000 0.0000 0.0000
Tl1 Tl 0.3333 0.6667 0.2500
Zn1 Zn 0.3333 0.6667 0.7500
```

Top 10 peaks for 15° ≤ 2θ ≤ 90°, by angle:
(hkl)	d (Å)	Rel. int.
1 0 1	3.562	27.7
1 0 2	2.717	100.0
1 1 0	2.358	71.7
0 0 4	1.820	11.0
2 0 2	1.781	28.9
1 1 4	1.441	30.5
2 1 2	1.421	27.4
3 0 0	1.361	12.6
2 2 0	1.179	8.0
1 0 6	1.163	7.2

(6)
Simulated powder X-ray diffraction pattern
Compound: DyTm3
Radiation: Cu Kα X-rays
Structure: the PBE geometry in the Materials Project
Lines closer than 0.1° are merged.

Structure:
```
data_DyTm3
_chemical_formula_sum 'Dy2 Tm6'
_cell_length_a 7.1253
_cell_length_b 7.1253
_cell_length_c 5.5741
_cell_angle_alpha 90.00
_cell_angle_beta 90.00
_cell_angle_gamma 120.00
_symmetry_space_group_name_H-M 'P 63/m m c'
_symmetry_Int_Tables_number 194
_symmetry_space_group_name_Hall '-P 6c 2c'
loop_
_atom_site_label
_atom_site_type_symbol
_atom_site_fract_x
_atom_site_fract_y
_atom_site_fract_z
Dy1 Dy 0.3333 0.6667 0.2500
Tm1 Tm 0.1662 0.3324 0.7500
```

Top 10 peaks for 15° ≤ 2θ ≤ 90°, by angle:
(hkl)	d (Å)	Rel. int.
2 0 0	3.085	23.8
0 0 2	2.787	24.2
2 0 1	2.699	100.0
2 0 2	2.068	15.6
2 2 0	1.781	19.7
2 0 3	1.592	20.5
2 2 2	1.501	22.5
4 0 1	1.487	16.4
4 2 1	1.141	14.2
2 2 4	1.098	8.6

(7)
Simulated powder X-ray diffraction pattern
Compound: Dy3V
Radiation: Cu Kα X-rays
Structure: the PBE geometry in the Materials Project
Lines closer than 0.1° are merged.

Structure:
```
data_Dy3V
_chemical_formula_sum 'Dy12 V4'
_cell_length_a 7.5776
_cell_length_b 7.5776
_cell_length_c 7.5776
_cell_angle_alpha 90.00
_cell_angle_beta 90.00
_cell_angle_gamma 90.00
_symmetry_space_group_name_H-M 'F m -3 m'
_symmetry_Int_Tables_number 225
_symmetry_space_group_name_Hall '-F 4 2 3'
loop_
_atom_site_label
_atom_site_type_symbol
_atom_site_fract_x
_atom_site_fract_y
_atom_site_fract_z
Dy1 Dy 0.0000 0.0000 0.0000
Dy2 Dy 0.2500 0.2500 0.2500
V1 V 0.0000 0.0000 0.5000
```

Top 10 peaks for 15° ≤ 2θ ≤ 90°, by angle:
(hkl)	d (Å)	Rel. int.
1 1 1	4.375	9.5
2 0 0	3.789	5.1
2 2 0	2.679	100.0
3 1 1	2.285	5.5
4 0 0	1.894	18.1
3 3 1	1.738	2.5
4 2 2	1.547	37.4
4 4 0	1.340	11.5
6 2 0	1.198	16.1
4 4 4	1.094	4.2

(8)
Simulated powder X-ray diffraction pattern
Compound: DyY3
Radiation: Cu Kα X-rays
Structure: the PBE geometry in the Materials Project
Lines closer than 0.1° are merged.

Structure:
```
data_DyY3
_chemical_formula_sum 'Dy2 Y6'
_cell_length_a 7.2572
_cell_length_b 7.2572
_cell_length_c 5.7656
_cell_angle_alpha 90.00
_cell_angle_beta 90.00
_cell_angle_gamma 120.00
_symmetry_space_group_name_H-M 'P 63/m m c'
_symmetry_Int_Tables_number 194
_symmetry_space_group_name_Hall '-P 6c 2c'
loop_
_atom_site_label
_atom_site_type_symbol
_atom_site_fract_x
_atom_site_fract_y
_atom_site_fract_z
Dy1 Dy 0.3333 0.6667 0.2500
Y1 Y 0.1672 0.3344 0.7500
```

Top 10 peaks for 15° ≤ 2θ ≤ 90°, by angle:
(hkl)	d (Å)	Rel. int.
2 0 0	3.142	23.7
0 0 2	2.883	25.1
2 0 1	2.759	100.0
2 0 2	2.124	15.6
2 2 0	1.814	19.1
2 0 3	1.640	20.5
2 2 2	1.536	21.9
4 0 1	1.516	15.7
4 2 1	1.163	13.1
2 2 4	1.129	8.1

(9)
Simulated powder X-ray diffraction pattern
Compound: DyYZn2
Radiation: Cu Kα X-rays
Structure: the PBE geometry in the Materials Project
Lines closer than 0.1° are merged.

Structure:
```
data_DyYZn2
_chemical_formula_sum 'Dy4 Y4 Zn8'
_cell_length_a 7.1578
_cell_length_b 7.1578
_cell_length_c 7.1578
_cell_angle_alpha 90.00
_cell_angle_beta 90.00
_cell_angle_gamma 90.00
_symmetry_space_group_name_H-M 'F m -3 m'
_symmetry_Int_Tables_number 225
_symmetry_space_group_name_Hall '-F 4 2 3'
loop_
_atom_site_label
_atom_site_type_symbol
_atom_site_fract_x
_atom_site_fract_y
_atom_site_fract_z
Dy1 Dy 0.0000 0.0000 0.0000
Y1 Y 0.0000 0.0000 0.5000
Zn1 Zn 0.2500 0.2500 0.2500
```

Top 10 peaks for 15° ≤ 2θ ≤ 90°, by angle:
(hkl)	d (Å)	Rel. int.
1 1 1	4.133	6.9
2 0 0	3.579	9.4
2 2 0	2.531	100.0
3 1 1	2.158	4.0
2 2 2	2.066	2.8
4 0 0	1.789	17.4
4 2 0	1.601	3.9
4 2 2	1.461	35.1
4 4 0	1.265	10.7
6 2 0	1.132	15.2

(10)
Simulated powder X-ray diffraction pattern
Compound: DyZn2
Radiation: Cu Kα X-rays
Structure: the PBE geometry in the Materials Project
Lines closer than 0.1° are merged.

Structure:
```
data_DyZn2
_chemical_formula_sum 'Dy4 Zn8'
_cell_length_a 4.5096
_cell_length_b 7.1535
_cell_length_c 7.4682
_cell_angle_alpha 90.00
_cell_angle_beta 90.00
_cell_angle_gamma 90.00
_symmetry_space_group_name_H-M 'I m m a'
_symmetry_Int_Tables_number 74
_symmetry_space_group_name_Hall '-I 2b 2'
loop_
_atom_site_label
_atom_site_type_symbol
_atom_site_fract_x
_atom_site_fract_y
_atom_site_fract_z
Dy1 Dy 0.0000 0.2500 0.0359
Zn1 Zn 0.0000 0.0486 0.6663
```

Top 10 peaks for 15° ≤ 2θ ≤ 90°, by angle:
(hkl)	d (Å)	Rel. int.
1 0 1	3.860	20.6
1 1 2	2.668	26.1
1 2 1	2.624	100.0
0 2 2	2.583	42.4
0 3 1	2.272	12.9
2 0 0	2.255	32.3
1 0 3	2.179	45.6
2 2 2	1.699	23.8
1 3 4	1.398	14.8
3 2 1	1.363	12.8

(11)
Simulated powder X-ray diffraction pattern
Compound: DyZn
Radiation: Cu Kα X-rays
Structure: the PBE geometry in the Materials Project
Lines closer than 0.1° are merged.

Structure:
```
data_DyZn
_chemical_formula_sum 'Dy1 Zn1'
_cell_length_a 3.5717
_cell_length_b 3.5717
_cell_length_c 3.5717
_cell_angle_alpha 90.00
_cell_angle_beta 90.00
_cell_angle_gamma 90.00
_symmetry_space_group_name_H-M 'P m -3 m'
_symmetry_Int_Tables_number 221
_symmetry_space_group_name_Hall '-P 4 2 3'
loop_
_atom_site_label
_atom_site_type_symbol
_atom_site_fract_x
_atom_site_fract_y
_atom_site_fract_z
Dy1 Dy 0.0000 0.0000 0.0000
Zn1 Zn 0.5000 0.5000 0.5000
```

Top 9 peaks for 15° ≤ 2θ ≤ 90°, by angle:
(hkl)	d (Å)	Rel. int.
1 0 0	3.572	18.0
1 1 0	2.526	100.0
1 1 1	2.062	5.5
2 0 0	1.786	17.6
2 1 0	1.597	7.6
2 1 1	1.458	35.7
2 2 0	1.263	10.9
3 0 0	1.191	3.9
3 1 0	1.129	15.7

(12)
Simulated powder X-ray diffraction pattern
Compound: Dy2Zn17
Radiation: Cu Kα X-rays
Structure: the PBE geometry in the Materials Project
Lines closer than 0.1° are merged.

Structure:
```
data_Dy2Zn17
_chemical_formula_sum 'Dy4 Zn34'
_cell_length_a 8.9765
_cell_length_b 8.9765
_cell_length_c 8.7821
_cell_angle_alpha 90.00
_cell_angle_beta 90.00
_cell_angle_gamma 120.00
_symmetry_space_group_name_H-M 'P 63/m m c'
_symmetry_Int_Tables_number 194
_symmetry_space_group_name_Hall '-P 6c 2c'
loop_
_atom_site_label
_atom_site_type_symbol
_atom_site_fract_x
_atom_site_fract_y
_atom_site_fract_z
Dy1 Dy 0.0000 0.0000 0.2500
Dy2 Dy 0.3333 0.6667 0.2500
Zn1 Zn 0.0000 0.5000 0.0000
Zn2 Zn 0.0374 0.3665 0.7500
Zn3 Zn 0.1616 0.3232 0.0202
Zn4 Zn 0.3333 0.6667 0.6014
```

Top 10 peaks for 15° ≤ 2θ ≤ 90°, by angle:
(hkl)	d (Å)	Rel. int.
1 1 2	3.139	28.1
3 0 0	2.591	39.6
2 0 3	2.338	36.1
2 2 0	2.244	58.3
3 0 2	2.232	100.0
0 0 4	2.196	32.2
2 2 2	1.998	26.8
3 3 2	1.416	16.6
6 0 0	1.296	18.6
3 0 6	1.274	20.0

(13)
Simulated powder X-ray diffraction pattern
Compound: Dy2Zn17
Radiation: Cu Kα X-rays
Structure: the PBE geometry in the Materials Project
Lines closer than 0.1° are merged.

Structure:
```
data_Dy2Zn17
_chemical_formula_sum 'Dy6 Zn51'
_cell_length_a 8.9678
_cell_length_b 8.9678
_cell_length_c 13.2236
_cell_angle_alpha 90.00
_cell_angle_beta 90.00
_cell_angle_gamma 120.00
_symmetry_space_group_name_H-M 'R -3 m'
_symmetry_Int_Tables_number 166
_symmetry_space_group_name_Hall '-R 3 2"'
loop_
_atom_site_label
_atom_site_type_symbol
_atom_site_fract_x
_atom_site_fract_y
_atom_site_fract_z
Dy1 Dy 0.0000 0.0000 0.1651
Zn1 Zn 0.0000 0.0000 0.4000
Zn2 Zn 0.0000 0.2975 0.5000
Zn3 Zn 0.0000 0.5000 0.0000
Zn4 Zn 0.0092 0.5046 0.6527
```

Top 10 peaks for 15° ≤ 2θ ≤ 90°, by angle:
(hkl)	d (Å)	Rel. int.
1 1 3	3.143	28.1
3 0 0	2.589	39.7
0 2 4	2.517	23.7
2 2 0	2.242	58.7
0 3 3	2.232	100.0
0 0 6	2.204	32.7
2 0 5	2.186	20.3
2 2 3	1.998	27.3
6 0 0	1.294	18.7
0 3 9	1.278	20.3

(14)
Simulated powder X-ray diffraction pattern
Compound: DyZr
Radiation: Cu Kα X-rays
Structure: the PBE geometry in the Materials Project
Lines closer than 0.1° are merged.

Structure:
```
data_DyZr
_chemical_formula_sum 'Dy1 Zr1'
_cell_length_a 3.3981
_cell_length_b 3.3981
_cell_length_c 5.4187
_cell_angle_alpha 90.00
_cell_angle_beta 90.00
_cell_angle_gamma 120.00
_symmetry_space_group_name_H-M 'P -6 m 2'
_symmetry_Int_Tables_number 187
_symmetry_space_group_name_Hall 'P -6 2'
loop_
_atom_site_label
_atom_site_type_symbol
_atom_site_fract_x
_atom_site_fract_y
_atom_site_fract_z
Dy1 Dy 0.0000 0.0000 0.0000
Zr1 Zr 0.6667 0.3333 0.5000
```

Top 10 peaks for 15° ≤ 2θ ≤ 90°, by angle:
(hkl)	d (Å)	Rel. int.
0 0 1	5.419	8.8
1 0 0	2.943	28.0
0 0 2	2.709	24.7
1 0 1	2.586	100.0
1 0 2	1.993	18.5
1 1 0	1.699	18.3
1 0 3	1.539	20.2
1 1 2	1.439	20.9
2 0 1	1.420	15.4
2 0 3	1.141	7.7